Theoretical XRD peak list
Compound: HfCdCuC2
Radiation: Cu Ka
Structure: a cell relaxed with GGA-PBE
Peak positions follow from Bragg's law for the DFT cell and can differ from measured ones.

Cell and atoms:
```
data_HfCdCuC2
_chemical_formula_sum 'Hf1 Cd1 Cu1 C2'
_cell_length_a 4.097
_cell_length_b 4.097
_cell_length_c 5.531
_cell_angle_alpha 90.00
_cell_angle_beta 90.00
_cell_angle_gamma 90.00
_space_group_name_H-M_alt 'P 4/m m m'
_space_group_IT_number 123
_space_group_name_Hall '-P 4 2'
loop_
_atom_site_label
_atom_site_fract_x
_atom_site_fract_y
_atom_site_fract_z
Hf1 0.000 0.000 0.000
Cd1 0.000 0.000 0.500
Cu1 0.500 0.500 0.000
C1 0.000 0.500 0.500
```

The 6 most intense peaks (15 to 90 degrees two-theta), by angle:
h k l  2θ (°)  intensity
1 0 0  21.7  100.0
1 1 0  30.9  97.4
0 0 2  32.4  55.0
2 0 0  44.2  45.3
1 1 2  45.3  68.3
2 0 2  55.9  44.2